Entry 1:
Computed PXRD pattern
Compound: Pm8Pd5Pt
Radiation: copper Kα
Structure: a GGA-PBE-relaxed structure

Structural model:
abc: 7.796 7.796 7.796
angles: 109.53 109.53 109.36
Fractional coordinates of all 14 atoms:
Pm1 0.260 0.507 0.633
Pm2 0.373 0.740 0.247
Pm3 0.377 0.245 0.247
Pm4 0.493 0.126 0.753
Pm5 0.755 0.002 0.132
Pm6 0.870 0.623 0.868
Pm7 0.874 0.627 0.367
Pm8 0.998 0.130 0.753
Pd1 0.128 0.002 0.374
Pd2 0.246 0.872 0.874
Pd3 0.628 0.754 0.626
Pd4 0.750 0.250 0.500
Pd5 0.998 0.372 0.126
Pt1 0.500 0.500 0.000

Principal peaks in the range 2θ = 15–90°, low angle first:
d [Å]  I (rel.)
3.183  12
2.847  100
2.406  51
1.919  12
1.838  12
1.766  19
1.764  11
1.460  14
1.389  11
1.224  12

Entry 2:
Computed PXRD pattern
Compound: Pm2Pd3Pt3
Radiation: copper Kα
Structure: a GGA-PBE-relaxed structure

Structural model:
abc: 4.146 4.179 8.448
angles: 90.00 90.00 90.00
Fractional coordinates of all 8 atoms:
Pm1 0.000 0.000 0.250
Pm2 0.000 0.000 0.750
Pd1 0.500 0.000 0.000
Pd2 0.500 0.500 0.250
Pd3 0.500 0.500 0.750
Pt1 0.000 0.500 0.000
Pt2 0.000 0.500 0.500
Pt3 0.500 0.000 0.500

Principal peaks in the range 2θ = 15–90°, low angle first:
d [Å]  I (rel.)
2.415  100
2.112  17
2.090  16
2.073  16
1.485  11
1.479  11
1.270  13
1.260  13
1.253  13
1.207  11

Entry 3:
Computed PXRD pattern
Compound: Pm5Pd4Pt
Radiation: copper Kα
Structure: a GGA-PBE-relaxed structure

Structural model:
abc: 3.565 3.565 18.293
angles: 90.00 90.00 90.00
Fractional coordinates of all 10 atoms:
Pm1 0.000 0.000 0.000
Pm2 0.000 0.000 0.201
Pm3 0.000 0.000 0.402
Pm4 0.000 0.000 0.598
Pm5 0.000 0.000 0.799
Pd1 0.500 0.500 0.100
Pd2 0.500 0.500 0.300
Pd3 0.500 0.500 0.700
Pd4 0.500 0.500 0.900
Pt1 0.500 0.500 0.500

Principal peaks in the range 2θ = 15–90°, low angle first:
d [Å]  I (rel.)
2.553  100
2.521  48
1.829  9
1.783  17
1.481  18
1.462  35
1.277  11
1.154  8
1.130  8
1.127  8

Entry 4:
Computed PXRD pattern
Compound: Pm8Pd2Pt
Radiation: copper Kα
Structure: a GGA-PBE-relaxed structure

Structural model:
abc: 9.565 9.565 6.809
angles: 106.82 106.82 31.63
Fractional coordinates of all 11 atoms:
Pm1 0.029 0.029 0.292
Pm2 0.203 0.203 0.843
Pm3 0.329 0.329 0.498
Pm4 0.409 0.409 0.041
Pm5 0.591 0.591 0.959
Pm6 0.671 0.671 0.502
Pm7 0.797 0.797 0.157
Pm8 0.971 0.971 0.708
Pd1 0.174 0.174 0.240
Pd2 0.826 0.826 0.760
Pt1 0.500 0.500 0.500

Principal peaks in the range 2θ = 15–90°, low angle first:
d [Å]  I (rel.)
3.078  37
2.946  61
2.912  24
2.836  100
2.783  23
2.622  35
2.607  80
2.500  25
2.439  27
1.564  28

Entry 5:
Computed PXRD pattern
Compound: Pm8PdPt5
Radiation: copper Kα
Structure: a GGA-PBE-relaxed structure

Structural model:
abc: 7.770 7.770 7.770
angles: 109.43 109.43 109.55
Fractional coordinates of all 14 atoms:
Pm1 0.005 0.377 0.247
Pm2 0.126 0.253 0.752
Pm3 0.129 0.758 0.753
Pm4 0.242 0.995 0.372
Pm5 0.501 0.374 0.248
Pm6 0.623 0.871 0.628
Pm7 0.626 0.874 0.127
Pm8 0.747 0.499 0.873
Pd1 0.750 0.250 0.500
Pt1 0.000 0.000 0.000
Pt2 0.251 0.627 0.123
Pt3 0.373 0.496 0.624
Pt4 0.504 0.127 0.877
Pt5 0.873 0.749 0.376

Principal peaks in the range 2θ = 15–90°, low angle first:
d [Å]  I (rel.)
3.663  8
2.837  100
2.398  52
2.006  16
1.913  13
1.831  11
1.760  26
1.455  26
1.384  11
1.221  16

Entry 6:
Computed PXRD pattern
Compound: Pm3Pd3Pt
Radiation: copper Kα
Structure: a GGA-PBE-relaxed structure

Structural model:
abc: 10.031 10.031 10.031
angles: 157.62 154.84 33.92
Fractional coordinates of all 7 atoms:
Pm1 0.000 0.000 0.000
Pm2 0.369 0.369 0.000
Pm3 0.688 0.188 0.500
Pd1 0.116 0.616 0.500
Pd2 0.528 0.528 0.000
Pd3 0.842 0.842 0.000
Pt1 0.253 0.753 0.500

Principal peaks in the range 2θ = 15–90°, low angle first:
d [Å]  I (rel.)
2.782  100
2.733  33
2.486  16
2.322  37
2.185  29
2.151  36
1.946  20
1.706  17
1.492  18
1.453  16

Entry 7:
Computed PXRD pattern
Compound: Pm2PdPt5Rh2
Radiation: copper Kα
Structure: a GGA-PBE-relaxed structure

Structural model:
abc: 9.369 9.369 4.145
angles: 90.00 90.00 90.00
Fractional coordinates of all 20 atoms:
Pm1 0.174 0.326 0.000
Pm2 0.326 0.826 0.000
Pm3 0.674 0.174 0.000
Pm4 0.826 0.674 0.000
Pd1 0.000 0.000 0.000
Pd2 0.500 0.500 0.000
Pt1 0.000 0.500 0.500
Pt2 0.061 0.798 0.500
Pt3 0.202 0.061 0.500
Pt4 0.298 0.561 0.500
Pt5 0.439 0.298 0.500
Pt6 0.500 0.000 0.500
Pt7 0.561 0.702 0.500
Pt8 0.702 0.439 0.500
Pt9 0.798 0.939 0.500
Pt10 0.939 0.202 0.500
Rh1 0.126 0.626 0.000
Rh2 0.374 0.126 0.000
Rh3 0.626 0.874 0.000
Rh4 0.874 0.374 0.000

Principal peaks in the range 2θ = 15–90°, low angle first:
d [Å]  I (rel.)
2.947  16
2.588  22
2.410  100
2.272  39
2.208  17
2.202  38
2.073  33
2.039  15
1.531  23
1.396  15

Entry 8:
Computed PXRD pattern
Compound: Pm3Si6PdPt2
Radiation: copper Kα
Structure: a GGA-PBE-relaxed structure

Structural model:
abc: 5.780 5.780 8.115
angles: 90.00 90.00 120.00
Fractional coordinates of all 12 atoms:
Pm1 0.000 0.000 0.000
Pm2 0.333 0.667 0.634
Pm3 0.667 0.333 0.366
Si1 0.192 0.384 0.292
Si2 0.192 0.808 0.292
Si3 0.384 0.192 0.708
Si4 0.616 0.808 0.292
Si5 0.808 0.192 0.708
Si6 0.808 0.616 0.708
Pd1 0.000 0.000 0.500
Pt1 0.333 0.667 0.042
Pt2 0.667 0.333 0.958

Principal peaks in the range 2θ = 15–90°, low angle first:
d [Å]  I (rel.)
3.152  51
2.890  100
2.705  16
2.354  50
2.130  29
1.975  23
1.715  19
1.668  19
1.543  27
1.445  17

Entry 9:
Computed PXRD pattern
Compound: Pm2Pd2Rh
Radiation: copper Kα
Structure: a GGA-PBE-relaxed structure

Structural model:
abc: 3.796 7.553 7.553
angles: 30.58 90.00 90.00
Fractional coordinates of all 5 atoms:
Pm1 0.000 0.000 0.000
Pm2 0.000 0.250 0.250
Pd1 0.500 0.632 0.632
Pd2 0.500 0.822 0.822
Rh1 0.500 0.444 0.444

Principal peaks in the range 2θ = 15–90°, low angle first:
d [Å]  I (rel.)
3.643  11
2.700  100
2.628  50
2.392  39
2.352  57
1.992  25
1.898  21
1.587  21
1.477  26
1.374  15

Entry 10:
Computed PXRD pattern
Compound: Pm7Pd2Rh2
Radiation: copper Kα
Structure: a GGA-PBE-relaxed structure

Structural model:
abc: 9.363 9.363 9.363
angles: 155.54 67.45 118.24
Fractional coordinates of all 11 atoms:
Pm1 0.000 0.000 0.000
Pm2 0.094 0.403 0.691
Pm3 0.160 0.780 0.380
Pm4 0.400 0.780 0.620
Pm5 0.512 0.621 0.891
Pm6 0.713 0.403 0.309
Pm7 0.730 0.621 0.109
Pd1 0.347 0.109 0.239
Pd2 0.870 0.109 0.761
Rh1 0.371 0.371 0.000
Rh2 0.791 0.291 0.500

Principal peaks in the range 2θ = 15–90°, low angle first:
d [Å]  I (rel.)
3.138  24
3.002  56
2.963  39
2.726  28
2.669  100
2.635  42
2.492  19
2.374  32
2.284  20
1.983  30

Entry 11:
Computed PXRD pattern
Compound: Pm6PdRh5
Radiation: copper Kα
Structure: a GGA-PBE-relaxed structure

Structural model:
abc: 4.972 7.120 7.851
angles: 90.00 108.32 90.00
Fractional coordinates of all 12 atoms:
Pm1 0.000 0.246 0.000
Pm2 0.000 0.754 0.000
Pm3 0.332 0.249 0.664
Pm4 0.332 0.751 0.664
Pm5 0.668 0.249 0.336
Pm6 0.668 0.751 0.336
Pd1 0.500 0.500 0.000
Rh1 0.166 0.500 0.331
Rh2 0.168 0.000 0.334
Rh3 0.500 0.000 0.000
Rh4 0.832 0.000 0.666
Rh5 0.834 0.500 0.669

Principal peaks in the range 2θ = 15–90°, low angle first:
d [Å]  I (rel.)
2.501  100
2.485  49
1.780  9
1.760  9
1.755  9
1.447  18
1.438  26
1.437  9
1.251  5
1.124  8

Entry 12:
Computed PXRD pattern
Compound: Pm3Pd3Rh
Radiation: copper Kα
Structure: a GGA-PBE-relaxed structure

Structural model:
abc: 9.759 9.759 9.759
angles: 156.70 153.93 35.24
Fractional coordinates of all 7 atoms:
Pm1 0.000 0.000 0.000
Pm2 0.368 0.368 0.000
Pm3 0.690 0.190 0.500
Pd1 0.117 0.617 0.500
Pd2 0.531 0.531 0.000
Pd3 0.839 0.839 0.000
Rh1 0.256 0.756 0.500

Principal peaks in the range 2θ = 15–90°, low angle first:
d [Å]  I (rel.)
2.800  100
2.706  36
2.483  20
2.275  34
2.201  31
2.132  32
1.971  22
1.707  18
1.490  17
1.468  17